This entry pairs a crystal structure of Tb12Pm2Zr with its theoretical X-ray powder pattern. Radiation: Cu Kα (weighted mean of Kα1 and Kα2). Structure: the GGA-PBE geometry in Alexandria.

Structure:
```
15
Lattice="3.489 0.000 0.000 0.000 5.594 0.000 -0.043 -2.786 24.301" Properties=species:S:1:pos:R:3 pbc="T T T"
Tb 0.000 0.000 0.000
Tb 3.483 -0.004 3.253
Tb 1.692 2.808 11.482
Tb 1.698 0.017 9.803
Tb 1.692 2.814 14.767
Tb 1.696 0.012 16.489
Tb 1.727 -0.007 6.385
Tb 1.701 2.808 21.181
Tb 3.444 2.813 8.346
Tb 3.444 2.807 18.061
Tb 3.474 2.787 4.920
Tb 3.446 0.011 22.299
Pm 1.741 2.797 1.610
Pm 3.437 0.013 13.137
Zr 1.701 0.016 19.474
```

Most intense lines, 10° ≤ 2θ ≤ 90°, in order of rising 2θ:
31.58 deg, d 2.833, rel. 748; 31.95 deg, d 2.801, rel. 1000; 32.89 deg, d 2.723, rel. 102; 45.51 deg, d 1.993, rel. 114; 45.57 deg, d 1.990, rel. 135; 56.65 deg, d 1.625, rel. 111; 56.76 deg, d 1.622, rel. 131; 56.98 deg, d 1.616, rel. 125; 62.68 deg, d 1.482, rel. 92; 62.77 deg, d 1.480, rel. 197

This entry pairs a crystal structure of PmTc6 with its theoretical X-ray powder pattern. Radiation: Cu Kα (weighted mean of Kα1 and Kα2). Structure: the GGA-PBE geometry in Alexandria.

Structure:
```
28
Lattice="8.547 0.000 0.000 0.000 5.202 0.000 0.000 0.000 10.736" Properties=species:S:1:pos:R:3 pbc="T T T"
Pm 1.992 1.300 0.595
Pm 2.281 3.901 5.963
Pm 6.266 1.300 4.773
Pm 6.554 3.901 10.142
Tc 0.587 0.047 3.276
Tc 0.587 2.554 3.276
Tc 0.667 3.901 0.849
Tc 0.687 1.300 5.611
Tc 1.214 3.901 9.143
Tc 1.598 1.300 8.134
Tc 2.676 3.901 2.766
Tc 3.059 1.300 3.775
Tc 3.587 3.901 0.243
Tc 3.606 1.300 6.217
Tc 3.686 2.648 8.644
Tc 3.686 5.155 8.644
Tc 4.861 0.047 2.092
Tc 4.861 2.554 2.092
Tc 4.941 3.901 4.520
Tc 4.960 1.300 10.493
Tc 5.488 3.901 6.961
Tc 5.871 1.300 7.970
Tc 6.949 3.901 2.602
Tc 7.332 1.300 1.593
Tc 7.860 3.901 5.125
Tc 7.879 1.300 9.888
Tc 7.959 2.648 7.460
Tc 7.959 5.155 7.460
```

Most intense lines, 10° ≤ 2θ ≤ 90°, in order of rising 2θ:
34.48 deg, d 2.601, rel. 300; 35.04 deg, d 2.561, rel. 600; 36.94 deg, d 2.434, rel. 1000; 37.05 deg, d 2.426, rel. 736; 38.46 deg, d 2.341, rel. 302; 41.51 deg, d 2.176, rel. 379; 43.17 deg, d 2.096, rel. 286; 43.45 deg, d 2.083, rel. 608; 44.34 deg, d 2.043, rel. 394; 63.42 deg, d 1.467, rel. 302

This entry pairs a crystal structure of PmTc with its theoretical X-ray powder pattern. Radiation: Cu Kα (weighted mean of Kα1 and Kα2). Structure: the GGA-PBE geometry in Alexandria.

Structure:
```
12
Lattice="4.190 0.000 0.000 -2.095 3.629 0.000 0.000 0.000 20.491" Properties=species:S:1:pos:R:3 pbc="T T T"
Pm 0.000 0.000 1.995
Pm 0.000 0.000 18.496
Pm 0.000 2.419 11.665
Pm 0.000 2.419 15.656
Pm 2.095 1.210 4.835
Pm 2.095 1.210 8.825
Tc 0.000 0.000 6.548
Tc 0.000 0.000 13.943
Tc 0.000 2.419 7.113
Tc 0.000 2.419 20.208
Tc 2.095 1.210 0.283
Tc 2.095 1.210 13.378
```

Most intense lines, 10° ≤ 2θ ≤ 90°, in order of rising 2θ:
12.96 deg, d 6.830, rel. 221; 24.92 deg, d 3.573, rel. 234; 30.18 deg, d 2.961, rel. 411; 32.97 deg, d 2.717, rel. 1000; 39.58 deg, d 2.277, rel. 152; 43.19 deg, d 2.095, rel. 594; 51.19 deg, d 1.784, rel. 195; 55.38 deg, d 1.659, rel. 231; 60.01 deg, d 1.542, rel. 219; 72.71 deg, d 1.301, rel. 201

This entry pairs a crystal structure of PmTcTe with its theoretical X-ray powder pattern. Radiation: Cu Kα (weighted mean of Kα1 and Kα2). Structure: the GGA-PBE geometry in Alexandria.

Structure:
```
12
Lattice="5.741 0.000 0.000 0.000 6.025 0.000 -3.248 0.000 8.449" Properties=species:S:1:pos:R:3 pbc="T T T"
Pm 0.998 1.345 0.305
Pm -0.626 1.667 4.529
Pm 3.120 4.358 3.919
Pm 1.496 4.680 8.144
Tc -1.486 3.593 6.724
Tc 0.138 5.444 2.500
Tc 2.356 0.581 5.949
Tc 3.979 2.431 1.724
Te 1.906 4.249 0.920
Te 0.282 4.788 5.144
Te 2.211 1.236 3.304
Te 0.588 1.776 7.529
```

Most intense lines, 10° ≤ 2θ ≤ 90°, in order of rising 2θ:
21.87 deg, d 4.065, rel. 325; 29.66 deg, d 3.012, rel. 430; 33.92 deg, d 2.643, rel. 369; 34.76 deg, d 2.581, rel. 1000; 35.86 deg, d 2.504, rel. 680; 36.67 deg, d 2.451, rel. 675; 36.99 deg, d 2.430, rel. 339; 39.87 deg, d 2.261, rel. 577; 44.01 deg, d 2.057, rel. 189; 68.43 deg, d 1.371, rel. 189

This entry pairs a crystal structure of PmThTc with its theoretical X-ray powder pattern. Radiation: Cu Kα (weighted mean of Kα1 and Kα2). Structure: the GGA-PBE geometry in Alexandria.

Structure:
```
12
Lattice="0.000 6.601 4.451 5.902 0.000 4.451 5.902 6.601 0.000" Properties=species:S:1:pos:R:3 pbc="T T T"
Pm 7.297 4.517 4.451
Pm 7.457 7.818 6.677
Pm 4.506 8.684 4.451
Pm 4.347 5.384 6.677
Th 8.290 8.141 3.036
Th 11.241 8.361 5.262
Th 3.513 5.061 3.036
Th 6.464 11.441 5.262
Tc 5.203 3.106 2.677
Tc 9.551 6.406 4.902
Tc 0.698 3.495 2.677
Tc 2.253 6.796 4.902
```

Most intense lines, 10° ≤ 2θ ≤ 90°, in order of rising 2θ:
14.15 deg, d 6.258, rel. 390; 20.18 deg, d 4.400, rel. 269; 27.02 deg, d 3.300, rel. 336; 28.53 deg, d 3.129, rel. 1000; 31.82 deg, d 2.812, rel. 637; 32.13 deg, d 2.786, rel. 925; 33.26 deg, d 2.694, rel. 489; 37.18 deg, d 2.418, rel. 725; 37.33 deg, d 2.409, rel. 294; 40.10 deg, d 2.248, rel. 315

This entry pairs a crystal structure of Pm6Tl2Tc with its theoretical X-ray powder pattern. Radiation: Cu Kα (weighted mean of Kα1 and Kα2). Structure: the GGA-PBE geometry in Alexandria.

Structure:
```
9
Lattice="3.997 0.000 0.000 0.000 7.593 4.425 0.000 -7.593 4.425" Properties=species:S:1:pos:R:3 pbc="T T T"
Pm 0.000 0.000 0.000
Pm 0.000 -1.758 5.592
Pm 0.000 1.758 5.592
Pm 1.999 -4.622 3.951
Pm 1.999 0.000 3.161
Pm 1.999 4.622 3.951
Tl 0.000 -2.571 2.227
Tl 0.000 2.571 2.227
Tc 1.999 0.000 6.848
```

Most intense lines, 10° ≤ 2θ ≤ 90°, in order of rising 2θ:
30.19 deg, d 2.960, rel. 1000; 30.88 deg, d 2.896, rel. 179; 31.09 deg, d 2.876, rel. 429; 32.41 deg, d 2.763, rel. 491; 32.53 deg, d 2.753, rel. 213; 35.21 deg, d 2.549, rel. 335; 38.56 deg, d 2.335, rel. 314; 45.38 deg, d 1.999, rel. 209; 57.62 deg, d 1.600, rel. 203; 58.71 deg, d 1.573, rel. 155

This entry pairs a crystal structure of PmUTc3 with its theoretical X-ray powder pattern. Radiation: Cu Kα (weighted mean of Kα1 and Kα2). Structure: the GGA-PBE geometry in Alexandria.

Structure:
```
10
Lattice="9.067 -2.109 0.000 9.067 2.109 0.000 -1.564 0.000 5.170" Properties=species:S:1:pos:R:3 pbc="T T T"
Pm 0.655 0.000 1.892
Pm 15.916 0.000 3.279
U 4.157 0.000 3.841
U 12.414 0.000 1.329
Tc 1.077 0.000 4.924
Tc 5.054 0.000 1.618
Tc 7.979 0.000 0.624
Tc 8.592 0.000 4.546
Tc 11.517 0.000 3.552
Tc 15.493 0.000 0.246
```

Most intense lines, 10° ≤ 2θ ≤ 90°, in order of rising 2θ:
10.19 deg, d 8.679, rel. 477; 26.82 deg, d 3.324, rel. 247; 33.43 deg, d 2.680, rel. 910; 33.88 deg, d 2.646, rel. 1000; 34.88 deg, d 2.572, rel. 471; 39.13 deg, d 2.302, rel. 277; 40.02 deg, d 2.253, rel. 423; 42.28 deg, d 2.138, rel. 224; 42.86 deg, d 2.110, rel. 844; 56.45 deg, d 1.630, rel. 375

This entry pairs a crystal structure of Pm2UTc3 with its theoretical X-ray powder pattern. Radiation: Cu Kα (weighted mean of Kα1 and Kα2). Structure: the GGA-PBE geometry in Alexandria.

Structure:
```
12
Lattice="6.525 -4.491 0.000 6.525 4.491 0.000 0.000 0.000 4.882" Properties=species:S:1:pos:R:3 pbc="T T T"
Pm 4.495 2.970 3.662
Pm 8.554 2.970 3.662
Pm 4.495 -2.970 1.221
Pm 8.554 -2.970 1.221
U 6.525 1.359 1.221
U 6.525 -1.359 3.662
Tc 6.525 3.574 1.221
Tc 4.473 0.000 0.000
Tc 4.473 0.000 2.441
Tc 8.576 0.000 0.000
Tc 8.576 0.000 2.441
Tc 6.525 -3.574 3.662
```

Most intense lines, 10° ≤ 2θ ≤ 90°, in order of rising 2θ:
26.97 deg, d 3.306, rel. 333; 29.24 deg, d 3.054, rel. 1000; 36.43 deg, d 2.466, rel. 507; 41.52 deg, d 2.175, rel. 243; 42.13 deg, d 2.145, rel. 122; 43.70 deg, d 2.072, rel. 207; 44.41 deg, d 2.040, rel. 148; 58.73 deg, d 1.572, rel. 128; 61.73 deg, d 1.503, rel. 122; 68.30 deg, d 1.373, rel. 154

This entry pairs a crystal structure of PmVTc with its theoretical X-ray powder pattern. Radiation: Cu Kα (weighted mean of Kα1 and Kα2). Structure: the GGA-PBE geometry in Alexandria.

Structure:
```
9
Lattice="3.044 1.758 5.973 -3.044 1.758 5.973 0.000 -3.515 5.973" Properties=species:S:1:pos:R:3 pbc="T T T"
Pm -0.900 -1.662 5.973
Pm -0.989 1.610 5.973
Pm 1.889 0.052 5.973
V -1.593 -0.143 8.958
V 0.920 -1.308 8.958
V 0.672 1.451 8.958
Tc 0.000 0.000 2.996
Tc 0.000 0.000 13.625
Tc 0.000 0.000 16.195
```

Most intense lines, 10° ≤ 2θ ≤ 90°, in order of rising 2θ:
29.34 deg, d 3.044, rel. 154; 29.92 deg, d 2.986, rel. 177; 30.15 deg, d 2.964, rel. 109; 33.03 deg, d 2.712, rel. 1000; 39.12 deg, d 2.303, rel. 96; 42.40 deg, d 2.132, rel. 310; 52.03 deg, d 1.758, rel. 257; 55.12 deg, d 1.666, rel. 176; 63.02 deg, d 1.475, rel. 112; 85.29 deg, d 1.138, rel. 101

This entry pairs a crystal structure of PmTe2 with its theoretical X-ray powder pattern. Radiation: Cu Kα (weighted mean of Kα1 and Kα2). Structure: the GGA-PBE geometry in Alexandria.

Structure:
```
12
Lattice="9.105 0.000 0.000 0.000 4.490 0.000 -0.001 0.000 8.999" Properties=species:S:1:pos:R:3 pbc="T T T"
Pm 2.080 1.120 1.124
Pm 2.079 1.125 5.624
Pm 7.025 3.365 3.375
Pm 7.024 3.371 7.875
Te 1.181 3.367 3.374
Te 1.181 3.368 7.874
Te 4.545 3.363 1.125
Te 4.545 3.373 5.624
Te 4.559 1.118 3.374
Te 4.559 1.128 7.874
Te 7.923 1.122 1.125
Te 7.923 1.123 5.625
```

Most intense lines, 10° ≤ 2θ ≤ 90°, in order of rising 2θ:
27.89 deg, d 3.199, rel. 162; 28.07 deg, d 3.178, rel. 240; 29.43 deg, d 3.035, rel. 378; 29.77 deg, d 3.001, rel. 1000; 34.41 deg, d 2.606, rel. 968; 35.70 deg, d 2.515, rel. 541; 40.12 deg, d 2.247, rel. 662; 50.53 deg, d 1.806, rel. 333; 54.77 deg, d 1.676, rel. 315; 58.04 deg, d 1.589, rel. 223

This entry pairs a crystal structure of Pm3Te with its theoretical X-ray powder pattern. Radiation: Cu Kα (weighted mean of Kα1 and Kα2). Structure: the GGA-PBE geometry in Alexandria.

Structure:
```
32
Lattice="12.733 0.000 0.000 0.000 12.733 0.000 0.000 0.000 6.215" Properties=species:S:1:pos:R:3 pbc="T T T"
Pm 0.443 7.302 1.502
Pm 0.935 12.291 4.609
Pm 1.402 2.837 0.217
Pm 1.799 8.496 4.443
Pm 2.129 10.934 1.336
Pm 2.837 4.964 2.891
Pm 3.530 1.402 2.891
Pm 4.237 8.166 1.336
Pm 4.567 10.604 4.443
Pm 4.964 3.530 0.217
Pm 5.431 6.809 4.609
Pm 5.924 11.798 1.502
Pm 6.809 0.935 4.714
Pm 7.302 5.924 1.606
Pm 7.769 9.203 5.999
Pm 8.166 2.129 1.772
Pm 8.496 4.567 4.880
Pm 9.203 11.331 3.324
Pm 9.896 7.769 3.324
Pm 10.604 1.799 4.880
Pm 10.934 4.237 1.772
Pm 11.331 9.896 5.999
Pm 11.798 0.443 1.606
Pm 12.291 5.431 4.714
Te 0.603 2.645 3.348
Te 2.645 5.764 5.975
Te 3.721 0.603 5.975
Te 5.764 3.721 3.348
Te 6.969 9.012 2.867
Te 9.012 12.130 0.241
Te 10.088 6.969 0.241
Te 12.130 10.088 2.867
```

Most intense lines, 10° ≤ 2θ ≤ 90°, in order of rising 2θ:
29.08 deg, d 3.070, rel. 1000; 29.77 deg, d 3.001, rel. 563; 30.43 deg, d 2.938, rel. 711; 31.42 deg, d 2.847, rel. 620; 32.37 deg, d 2.766, rel. 947; 35.09 deg, d 2.557, rel. 388; 35.96 deg, d 2.497, rel. 422; 36.52 deg, d 2.460, rel. 480; 51.12 deg, d 1.787, rel. 363; 59.31 deg, d 1.558, rel. 271

This entry pairs a crystal structure of PmTh2Te6 with its theoretical X-ray powder pattern. Radiation: Cu Kα (weighted mean of Kα1 and Kα2). Structure: the GGA-PBE geometry in Alexandria.

Structure:
```
18
Lattice="7.411 0.000 0.000 0.000 7.411 0.000 0.000 0.000 13.855" Properties=species:S:1:pos:R:3 pbc="T T T"
Pm 0.000 0.000 0.000
Pm 3.706 3.706 6.928
Th 0.000 0.000 4.608
Th 0.000 0.000 9.247
Th 3.706 3.706 2.320
Th 3.706 3.706 11.536
Te 1.475 1.475 6.928
Te 1.499 1.499 2.320
Te 1.499 1.499 11.535
Te 2.206 5.205 4.608
Te 2.206 5.205 9.248
Te 2.231 5.180 0.000
Te 5.180 2.231 0.000
Te 5.205 2.206 4.608
Te 5.205 2.206 9.248
Te 5.912 5.912 2.320
Te 5.912 5.912 11.535
Te 5.937 5.937 6.928
```

Most intense lines, 10° ≤ 2θ ≤ 90°, in order of rising 2θ:
16.92 deg, d 5.240, rel. 934; 22.69 deg, d 3.920, rel. 288; 25.71 deg, d 3.465, rel. 745; 26.90 deg, d 3.314, rel. 242; 33.27 deg, d 2.693, rel. 1000; 34.22 deg, d 2.620, rel. 458; 39.00 deg, d 2.309, rel. 241; 41.45 deg, d 2.178, rel. 638; 52.85 deg, d 1.732, rel. 269; 71.54 deg, d 1.319, rel. 262